Entry 1:
This entry pairs a crystal structure of Sm8Dy2Y3 with its theoretical XRD peak list. Radiation: Cu Kα (weighted mean of Kα1 and Kα2). Structure: the GGA-PBE geometry in Alexandria.
Intensities are scaled so that the largest is 100.

Atomic structure:
Cell lengths 20.339, 7.704, 5.701 Å; angles 90.00, 90.02, 90.00 degrees
Space group C2/m (No. 12)
Asymmetric unit:
Sm (0.107, 0.207, 0.000)
Sm (0.133, 0.500, 0.500)
Sm (0.171, 0.000, 0.501)
Dy (0.241, 0.500, 0.999)
Y (0.000, 0.215, 0.500)
Y (0.000, 0.500, 0.000)

Principal peaks in the range 2θ = 10–90°, in order of falling intensity:
- hkl 4 2 -1, 2θ = 33.14°, d = 2.703 Å, I = 100
- hkl 0 0 2, 2θ = 31.38°, d = 2.850 Å, I = 45
- hkl 6 0 -1, 2θ = 30.68°, d = 2.914 Å, I = 39
- hkl 5 1 1, 2θ = 29.36°, d = 3.042 Å, I = 34
- hkl 2 2 0, 2θ = 24.71°, d = 3.602 Å, I = 25
- hkl 4 2 -3, 2θ = 56.99°, d = 1.616 Å, I = 21

Entry 2:
This entry pairs a crystal structure of RbLiPb2I6 with its theoretical XRD peak list. Radiation: Cu Kα (weighted mean of Kα1 and Kα2). Structure: the GGA-PBE geometry in Alexandria.
Intensities are scaled so that the largest is 100.

Atomic structure:
Cell lengths 8.2890, 8.2890, 22.4835 Å; angles 90.00, 90.00, 120.00 degrees
Space group R3 (No. 146, hexagonal axes)
Asymmetric unit:
Rb (0.0000, 0.0000, 0.0000)
Li (0.0000, 0.0000, 0.4709)
Pb (0.0000, 0.0000, 0.2879)
Pb (0.0000, 0.0000, 0.8029)
I (0.0012, 0.3380, 0.2181)
I (0.0233, 0.6125, 0.0595)

Principal peaks in the range 2θ = 10–90°, in order of falling intensity:
- hkl 1 1 3, 2θ = 24.54°, d = 3.627 Å, I = 100
- hkl 2 -1 6, 2θ = 32.20°, d = 2.780 Å, I = 82
- hkl 0 1 2, 2θ = 14.64°, d = 6.050 Å, I = 75
- hkl 3 0 0, 2θ = 37.59°, d = 2.393 Å, I = 53
- hkl 0 2 4, 2θ = 29.53°, d = 3.025 Å, I = 34
- hkl 1 0 4, 2θ = 20.06°, d = 4.426 Å, I = 29

Entry 3:
This entry pairs a crystal structure of BaCa2Ru with its theoretical XRD peak list. Radiation: Cu Kα (weighted mean of Kα1 and Kα2). Structure: the GGA-PBE geometry in Alexandria.
Intensities are scaled so that the largest is 100.

Atomic structure:
Cell lengths 3.565, 5.142, 15.588 Å; angles 90.00, 90.00, 90.00 degrees
Space group Imm2 (No. 44)
Asymmetric unit:
Ba (0.000, 0.000, 0.000)
Ca (0.000, 0.000, 0.692)
Ca (0.000, 0.500, 0.836)
Ru (0.000, 0.500, 0.339)

Principal peaks in the range 2θ = 10–90°, in order of falling intensity:
- hkl 0 1 1, 2θ = 18.17°, d = 4.883 Å, I = 100
- hkl 1 1 2, 2θ = 32.66°, d = 2.742 Å, I = 81
- hkl 1 1 4, 2θ = 38.44°, d = 2.342 Å, I = 77
- hkl 0 0 2, 2θ = 11.35°, d = 7.794 Å, I = 55
- hkl 1 0 3, 2θ = 30.41°, d = 2.939 Å, I = 50
- hkl 0 2 0, 2θ = 34.90°, d = 2.571 Å, I = 33

Entry 4:
This entry pairs a crystal structure of LaZnGeO2 with its theoretical XRD peak list. Radiation: Cu Kα (weighted mean of Kα1 and Kα2). Structure: the GGA-PBE geometry in Alexandria.
Intensities are scaled so that the largest is 100.

Atomic structure:
Cell lengths 4.248, 4.248, 4.534 Å; angles 90.00, 90.00, 90.00 degrees
Space group P4/mmm (No. 123)
Asymmetric unit:
La (0.000, 0.000, 0.000)
Zn (0.500, 0.500, 0.000)
Ge (0.500, 0.500, 0.500)
O (0.000, 0.500, 0.500)

Principal peaks in the range 2θ = 10–90°, in order of falling intensity:
- hkl 1 1 0, 2θ = 29.74°, d = 3.004 Å, I = 100
- hkl 1 0 1, 2θ = 28.80°, d = 3.100 Å, I = 69
- hkl 2 0 0, 2θ = 42.56°, d = 2.124 Å, I = 60
- hkl 1 1 1, 2θ = 35.86°, d = 2.504 Å, I = 54
- hkl 1 1 2, 2θ = 50.43°, d = 1.810 Å, I = 47
- hkl 2 0 2, 2θ = 59.65°, d = 1.550 Å, I = 42

Entry 5:
This entry pairs a crystal structure of Co3H with its theoretical XRD peak list. Radiation: Cu Kα (weighted mean of Kα1 and Kα2). Structure: the GGA-PBE geometry in Alexandria.
Intensities are scaled so that the largest is 100.

Atomic structure:
Cell lengths 2.5419, 2.5419, 12.2944 Å; angles 90.00, 90.00, 120.00 degrees
Space group P6_3/mmc (No. 194)
Asymmetric unit:
Co (0.3333, 0.6667, 0.0890)
Co (0.3333, 0.6667, 0.7500)
H (0.0000, 0.0000, 0.0000)

Principal peaks in the range 2θ = 10–90°, in order of falling intensity:
- hkl 1 0 3, 2θ = 46.85°, d = 1.939 Å, I = 100
- hkl 0 0 6, 2θ = 44.20°, d = 2.049 Å, I = 26
- hkl 1 0 0, 2θ = 41.00°, d = 2.201 Å, I = 25
- hkl 1 0 9, 2θ = 83.24°, d = 1.161 Å, I = 15
- hkl 1 1 0, 2θ = 74.68°, d = 1.271 Å, I = 15
- hkl 1 0 6, 2θ = 61.86°, d = 1.500 Å, I = 13

Entry 6:
This entry pairs a crystal structure of Sc2In2S with its theoretical XRD peak list. Radiation: Cu Kα (weighted mean of Kα1 and Kα2). Structure: the GGA-PBE geometry in Alexandria.
Intensities are scaled so that the largest is 100.

Atomic structure:
Cell lengths 6.106, 3.523, 10.778 Å; angles 90.00, 100.76, 90.00 degrees
Space group C2/m (No. 12)
Asymmetric unit:
Sc (0.213, 0.000, 0.142)
In (0.046, 0.000, 0.635)
S (0.000, 0.500, 0.000)

Principal peaks in the range 2θ = 10–90°, in order of falling intensity:
- hkl 2 0 -1, 2θ = 29.40°, d = 3.038 Å, I = 100
- hkl 1 1 -4, 2θ = 43.12°, d = 2.098 Å, I = 79
- hkl 2 0 -2, 2θ = 31.40°, d = 2.849 Å, I = 67
- hkl 1 1 2, 2θ = 35.44°, d = 2.533 Å, I = 63
- hkl 1 1 -1, 2θ = 29.81°, d = 2.997 Å, I = 49
- hkl 3 1 -1, 2θ = 51.87°, d = 1.763 Å, I = 41

Entry 7:
This entry pairs a crystal structure of HgBrN with its theoretical XRD peak list. Radiation: Cu Kα (weighted mean of Kα1 and Kα2). Structure: the GGA-PBE geometry in Alexandria.
Intensities are scaled so that the largest is 100.

Atomic structure:
Cell lengths 4.865, 7.160, 7.118 Å; angles 90.00, 90.00, 90.00 degrees
Space group Aem2 (No. 39)
Asymmetric unit:
Hg (0.000, 0.000, 0.000)
Br (0.499, 0.250, 0.251)
N (0.233, 0.250, 0.500)

Principal peaks in the range 2θ = 10–90°, in order of falling intensity:
- hkl 1 0 2, 2θ = 31.13°, d = 2.873 Å, I = 100
- hkl 1 2 0, 2θ = 31.01°, d = 2.884 Å, I = 99
- hkl 0 2 2, 2θ = 35.57°, d = 2.524 Å, I = 63
- hkl 2 2 2, 2θ = 52.22°, d = 1.752 Å, I = 50
- hkl 1 0 0, 2θ = 18.23°, d = 4.865 Å, I = 30
- hkl 1 4 2, 2θ = 60.99°, d = 1.519 Å, I = 30

Entry 8:
This entry pairs a crystal structure of Ga3Te3Cl with its theoretical XRD peak list. Radiation: Cu Kα (weighted mean of Kα1 and Kα2). Structure: the GGA-PBE geometry in Alexandria.
Intensities are scaled so that the largest is 100.

Atomic structure:
Cell lengths 11.296, 4.142, 19.754 Å; angles 90.00, 90.00, 90.00 degrees
Space group Pnma (No. 62)
Asymmetric unit:
Ga (0.057, 0.250, 0.100)
Ga (0.162, 0.250, 0.636)
Ga (0.174, 0.250, 0.995)
Te (0.087, 0.250, 0.869)
Te (0.171, 0.250, 0.501)
Te (0.229, 0.250, 0.196)
Cl (0.026, 0.750, 0.333)

Principal peaks in the range 2θ = 10–90°, in order of falling intensity:
- hkl 2 1 0, 2θ = 26.67°, d = 3.342 Å, I = 100
- hkl 2 0 4, 2θ = 23.91°, d = 3.721 Å, I = 41
- hkl 0 0 6, 2θ = 27.08°, d = 3.293 Å, I = 32
- hkl 2 1 8, 2θ = 45.71°, d = 1.985 Å, I = 26
- hkl 1 0 2, 2θ = 11.90°, d = 7.436 Å, I = 25
- hkl 0 2 0, 2θ = 43.70°, d = 2.071 Å, I = 23

Entry 9:
This entry pairs a crystal structure of NdErMg6 with its theoretical XRD peak list. Radiation: Cu Kα (weighted mean of Kα1 and Kα2). Structure: the GGA-PBE geometry in Alexandria.
Intensities are scaled so that the largest is 100.

Atomic structure:
Cell lengths 5.211, 6.736, 11.634 Å; angles 90.00, 90.00, 90.00 degrees
Space group Amm2 (No. 38)
Asymmetric unit:
Nd (0.000, 0.000, 0.000)
Er (0.500, 0.000, 0.668)
Mg (0.000, 0.000, 0.499)
Mg (0.000, 0.246, 0.251)
Mg (0.500, 0.000, 0.172)
Mg (0.500, 0.241, 0.415)

Principal peaks in the range 2θ = 10–90°, in order of falling intensity:
- hkl 1 2 2, 2θ = 35.30°, d = 2.542 Å, I = 100
- hkl 1 0 2, 2θ = 22.90°, d = 3.884 Å, I = 95
- hkl 0 2 0, 2θ = 26.50°, d = 3.363 Å, I = 43
- hkl 0 1 1, 2θ = 15.21°, d = 5.825 Å, I = 37
- hkl 1 1 5, 2θ = 44.68°, d = 2.028 Å, I = 31
- hkl 0 0 4, 2θ = 30.70°, d = 2.913 Å, I = 24

Entry 10:
This entry pairs a crystal structure of Bi3AsPb12 with its theoretical XRD peak list. Radiation: Cu Kα (weighted mean of Kα1 and Kα2). Structure: the GGA-PBE geometry in Alexandria.
Intensities are scaled so that the largest is 100.

Atomic structure:
Cell lengths 8.704, 3.463, 17.284 Å; angles 90.00, 97.13, 90.00 degrees
Space group P2/m (No. 10)
Asymmetric unit:
Bi (0.000, 0.000, 0.000)
Bi (0.495, 0.000, 0.738)
As (0.000, 0.000, 0.500)
Pb (0.002, 0.500, 0.248)
Pb (0.218, 0.500, 0.611)
Pb (0.230, 0.000, 0.384)
Pb (0.258, 0.000, 0.871)
Pb (0.261, 0.500, 0.130)
Pb (0.500, 0.500, 0.000)
Pb (0.500, 0.500, 0.500)

Principal peaks in the range 2θ = 10–90°, in order of falling intensity:
- hkl 1 1 2, 2θ = 30.14°, d = 2.965 Å, I = 100
- hkl 2 0 -4, 2θ = 27.43°, d = 3.251 Å, I = 63
- hkl 2 0 4, 2θ = 31.17°, d = 2.870 Å, I = 43
- hkl 3 1 -2, 2θ = 41.12°, d = 2.195 Å, I = 42
- hkl 1 1 -6, 2θ = 41.28°, d = 2.187 Å, I = 41
- hkl 4 0 0, 2θ = 41.84°, d = 2.159 Å, I = 19

Entry 11:
This entry pairs a crystal structure of PrNd6SmHo2 with its theoretical XRD peak list. Radiation: Cu Kα (weighted mean of Kα1 and Kα2). Structure: the GGA-PBE geometry in Alexandria.
Intensities are scaled so that the largest is 100.

Atomic structure:
Cell lengths 9.327, 15.318, 9.806 Å; angles 90.00, 97.97, 90.00 degrees
Space group C2/c (No. 15)
Asymmetric unit:
Pr (0.000, 0.094, 0.250)
Nd (0.066, 0.323, 0.444)
Nd (0.097, 0.107, 0.620)
Nd (0.209, 0.274, 0.818)
Sm (0.000, 0.471, 0.750)
Ho (0.244, 0.452, 0.047)

Principal peaks in the range 2θ = 10–90°, in order of falling intensity:
- hkl 2 2 2, 2θ = 30.78°, d = 2.905 Å, I = 100
- hkl 3 1 -1, 2θ = 29.77°, d = 3.001 Å, I = 57
- hkl 0 2 3, 2θ = 29.97°, d = 2.982 Å, I = 47
- hkl 1 3 2, 2θ = 28.03°, d = 3.184 Å, I = 43
- hkl 1 3 -3, 2θ = 33.06°, d = 2.709 Å, I = 38
- hkl 2 4 -1, 2θ = 30.91°, d = 2.893 Å, I = 38

Entry 12:
This entry pairs a crystal structure of NaY2In2 with its theoretical XRD peak list. Radiation: Cu Kα (weighted mean of Kα1 and Kα2). Structure: the GGA-PBE geometry in Alexandria.
Intensities are scaled so that the largest is 100.

Atomic structure:
Cell lengths 9.295, 9.295, 3.442 Å; angles 90.00, 90.00, 90.00 degrees
Space group P4/mbm (No. 127)
Asymmetric unit:
Na (0.000, 0.000, 0.000)
Y (0.127, 0.373, 0.000)
In (0.173, 0.673, 0.500)

Principal peaks in the range 2θ = 10–90°, in order of falling intensity:
- hkl 2 1 1, 2θ = 33.81°, d = 2.651 Å, I = 100
- hkl 3 1 0, 2θ = 30.41°, d = 2.939 Å, I = 38
- hkl 1 1 0, 2θ = 13.47°, d = 6.573 Å, I = 34
- hkl 4 1 1, 2θ = 48.26°, d = 1.886 Å, I = 16
- hkl 5 2 1, 2θ = 59.95°, d = 1.543 Å, I = 16
- hkl 2 0 0, 2θ = 19.10°, d = 4.648 Å, I = 15